(1)
For PrTm2Te5, the PBE geometry in Alexandria gives the theoretical powder XRD pattern in this record (Cu Kα).
Peak positions follow from Bragg's law for the DFT cell and can differ from measured ones.

Atomic structure:
Unit cell a=9.173 b=9.173 c=9.173 alpha=127.32 beta=127.32 gamma=77.72
Element x y z (fractional)
Pr1 0.250 0.250 0.000
Pr2 0.750 0.750 0.000
Tm1 0.151 0.651 0.802
Tm2 0.349 0.151 0.500
Tm3 0.651 0.849 0.500
Tm4 0.849 0.349 0.198
Te1 0.000 0.000 0.000
Te2 0.012 0.197 0.500
Te3 0.197 0.697 0.185
Te4 0.303 0.488 0.500
Te5 0.488 0.988 0.185
Te6 0.500 0.500 0.000
Te7 0.512 0.012 0.815
Te8 0.697 0.512 0.500
Te9 0.803 0.303 0.815
Te10 0.988 0.803 0.500

Most intense lines, 2θ = 5–70°, most intense first:
2θ 30.92, d = 2.892 Å, rel. 100.0; 2θ 34.86, d = 2.574 Å, rel. 50.9; 2θ 64.72, d = 1.440 Å, rel. 21.0; 2θ 50.02, d = 1.824 Å, rel. 13.9; 2θ 40.12, d = 2.247 Å, rel. 12.8; 2θ 29.43, d = 3.035 Å, rel. 12.1; 2θ 33.38, d = 2.684 Å, rel. 12.0; 2θ 63.40, d = 1.467 Å, rel. 11.9; 2θ 12.39, d = 7.142 Å, rel. 10.3; 2θ 31.08, d = 2.878 Å, rel. 9.6; 2θ 37.79, d = 2.381 Å, rel. 8.7; 2θ 50.12, d = 1.820 Å, rel. 8.2


(2)
For NaDyCd, the PBE geometry in Alexandria gives the theoretical powder XRD pattern in this record (Cu Kα).
Peak positions follow from Bragg's law for the DFT cell and can differ from measured ones.

Atomic structure:
Unit cell a=5.329 b=5.329 c=3.254 alpha=90.00 beta=90.00 gamma=120.00
Element x y z (fractional)
Na1 0.000 0.000 0.000
Dy1 0.333 0.667 0.496
Cd1 0.667 0.333 0.994

Most intense lines, 2θ = 5–70°, most intense first:
2θ 33.67, d = 2.662 Å, rel. 100.0; 2θ 60.18, d = 1.538 Å, rel. 28.8; 2θ 19.23, d = 4.615 Å, rel. 27.4; 2θ 48.36, d = 1.882 Å, rel. 20.3; 2θ 67.44, d = 1.389 Å, rel. 11.1; 2θ 39.04, d = 2.307 Å, rel. 4.6; 2θ 52.46, d = 1.744 Å, rel. 4.0; 2θ 56.56, d = 1.627 Å, rel. 3.2; 2θ 60.31, d = 1.535 Å, rel. 2.6


(3)
For Pr3Nd8, the PBE geometry in Alexandria gives the theoretical powder XRD pattern in this record (Cu Kα).
Peak positions follow from Bragg's law for the DFT cell and can differ from measured ones.

Atomic structure:
Unit cell a=6.415 b=6.415 c=13.310 alpha=103.79 beta=103.79 gamma=47.89
Element x y z (fractional)
Pr1 0.000 0.000 0.000
Pr2 0.091 0.091 0.637
Pr3 0.909 0.909 0.363
Nd1 0.182 0.182 0.273
Nd2 0.273 0.273 0.909
Nd3 0.363 0.363 0.546
Nd4 0.455 0.455 0.182
Nd5 0.545 0.545 0.818
Nd6 0.637 0.637 0.454
Nd7 0.727 0.727 0.091
Nd8 0.818 0.818 0.727

Most intense lines, 2θ = 5–70°, most intense first:
2θ 29.61, d = 3.016 Å, rel. 100.0; 2θ 34.40, d = 2.607 Å, rel. 33.6; 2θ 49.28, d = 1.849 Å, rel. 24.4; 2θ 34.18, d = 2.624 Å, rel. 17.1; 2θ 58.40, d = 1.580 Å, rel. 14.7; 2θ 58.64, d = 1.574 Å, rel. 14.5; 2θ 58.76, d = 1.571 Å, rel. 14.4; 2θ 61.48, d = 1.508 Å, rel. 12.5; 2θ 49.45, d = 1.843 Å, rel. 12.1


(4)
For Na17In11Hg, the PBE geometry in Alexandria gives the theoretical powder XRD pattern in this record (Cu Kα).
Peak positions follow from Bragg's law for the DFT cell and can differ from measured ones.

Atomic structure:
Unit cell a=10.188 b=10.188 c=10.198 alpha=109.36 beta=109.36 gamma=109.31
Element x y z (fractional)
Na1 0.000 0.000 0.000
Na2 0.003 0.003 0.654
Na3 0.003 0.594 0.967
Na4 0.004 0.351 0.655
Na5 0.005 0.313 0.248
Na6 0.282 0.691 0.344
Na7 0.313 0.005 0.248
Na8 0.316 0.593 0.656
Na9 0.351 0.004 0.655
Na10 0.410 0.410 0.376
Na11 0.411 0.725 0.066
Na12 0.593 0.316 0.656
Na13 0.594 0.003 0.967
Na14 0.655 0.655 0.309
Na15 0.691 0.282 0.344
Na16 0.692 0.692 0.934
Na17 0.725 0.411 0.066
In1 0.003 0.820 0.287
In2 0.006 0.636 0.471
In3 0.185 0.370 0.024
In4 0.186 0.816 0.838
In5 0.370 0.185 0.024
In6 0.376 0.376 0.845
In7 0.632 0.816 0.654
In8 0.636 0.006 0.471
In9 0.816 0.186 0.838
In10 0.816 0.632 0.654
In11 0.820 0.003 0.287
Hg1 0.195 0.195 0.478

Most intense lines, 2θ = 5–70°, most intense first:
2θ 18.43, d = 4.814 Å, rel. 100.0; 2θ 35.79, d = 2.509 Å, rel. 87.5; 2θ 32.25, d = 2.775 Å, rel. 59.4; 2θ 32.17, d = 2.782 Å, rel. 46.0; 2θ 18.48, d = 4.800 Å, rel. 41.1; 2θ 10.61, d = 8.337 Å, rel. 35.2; 2θ 38.96, d = 2.312 Å, rel. 35.1; 2θ 35.56, d = 2.524 Å, rel. 28.6; 2θ 39.05, d = 2.306 Å, rel. 20.2; 2θ 46.21, d = 1.964 Å, rel. 14.9; 2θ 38.84, d = 2.319 Å, rel. 14.2; 2θ 57.48, d = 1.603 Å, rel. 13.6


(5)
For Co24Tc5, the PBE geometry in Alexandria gives the theoretical powder XRD pattern in this record (Cu Kα).
Peak positions follow from Bragg's law for the DFT cell and can differ from measured ones.

Atomic structure:
Unit cell a=7.576 b=7.576 c=7.576 alpha=109.47 beta=109.47 gamma=109.47
Element x y z (fractional)
Co1 0.000 0.192 0.376
Co2 0.000 0.376 0.192
Co3 0.000 0.398 0.681
Co4 0.000 0.681 0.398
Co5 0.184 0.808 0.808
Co6 0.192 0.000 0.376
Co7 0.192 0.376 0.000
Co8 0.283 0.602 0.602
Co9 0.319 0.319 0.717
Co10 0.319 0.717 0.319
Co11 0.376 0.000 0.192
Co12 0.376 0.192 0.000
Co13 0.398 0.000 0.681
Co14 0.398 0.681 0.000
Co15 0.602 0.283 0.602
Co16 0.602 0.602 0.283
Co17 0.624 0.624 0.816
Co18 0.624 0.816 0.624
Co19 0.681 0.000 0.398
Co20 0.681 0.398 0.000
Co21 0.717 0.319 0.319
Co22 0.808 0.184 0.808
Co23 0.808 0.808 0.184
Co24 0.816 0.624 0.624
Tc1 0.000 0.000 0.000
Tc2 0.000 0.000 0.643
Tc3 0.000 0.643 0.000
Tc4 0.357 0.357 0.357
Tc5 0.643 0.000 0.000

Most intense lines, 2θ = 5–70°, most intense first:
2θ 43.91, d = 2.062 Å, rel. 100.0; 2θ 48.83, d = 1.865 Å, rel. 19.2; 2θ 51.15, d = 1.786 Å, rel. 10.4; 2θ 53.40, d = 1.716 Å, rel. 7.2; 2θ 41.28, d = 2.187 Å, rel. 5.2; 2θ 38.51, d = 2.338 Å, rel. 4.9; 2θ 65.81, d = 1.419 Å, rel. 2.7; 2θ 63.84, d = 1.458 Å, rel. 2.2; 2θ 14.32, d = 6.186 Å, rel. 2.0; 2θ 69.66, d = 1.350 Å, rel. 1.6; 2θ 24.93, d = 3.571 Å, rel. 1.4; 2θ 57.72, d = 1.597 Å, rel. 1.1


(6)
For SrCo2GeN, the PBE geometry in Alexandria gives the theoretical powder XRD pattern in this record (Cu Kα).
Peak positions follow from Bragg's law for the DFT cell and can differ from measured ones.

Atomic structure:
Unit cell a=5.780 b=5.780 c=6.877 alpha=90.00 beta=90.00 gamma=140.17
Element x y z (fractional)
Sr1 0.052 0.948 0.750
Sr2 0.948 0.052 0.250
Co1 0.344 0.656 0.558
Co2 0.344 0.656 0.942
Co3 0.656 0.344 0.058
Co4 0.656 0.344 0.442
Ge1 0.227 0.773 0.250
Ge2 0.773 0.227 0.750
N1 0.500 0.500 0.000
N2 0.500 0.500 0.500

Most intense lines, 2θ = 5–70°, most intense first:
2θ 35.64, d = 2.519 Å, rel. 100.0; 2θ 36.13, d = 2.486 Å, rel. 85.0; 2θ 35.52, d = 2.527 Å, rel. 49.3; 2θ 46.10, d = 1.969 Å, rel. 41.6; 2θ 33.61, d = 2.666 Å, rel. 36.3; 2θ 46.60, d = 1.949 Å, rel. 33.8; 2θ 64.47, d = 1.445 Å, rel. 31.2; 2θ 42.40, d = 2.132 Å, rel. 23.0; 2θ 59.52, d = 1.553 Å, rel. 21.2; 2θ 42.82, d = 2.112 Å, rel. 20.5; 2θ 52.66, d = 1.738 Å, rel. 18.3; 2θ 57.50, d = 1.603 Å, rel. 14.8


(7)
For HfPa3H8, the PBE geometry in Alexandria gives the theoretical powder XRD pattern in this record (Cu Kα).
Peak positions follow from Bragg's law for the DFT cell and can differ from measured ones.

Atomic structure:
Unit cell a=5.119 b=5.119 c=5.119 alpha=90.00 beta=90.00 gamma=90.00
Element x y z (fractional)
Hf1 0.000 0.000 0.000
Pa1 0.000 0.500 0.500
Pa2 0.500 0.000 0.500
Pa3 0.500 0.500 0.000
H1 0.230 0.230 0.230
H2 0.230 0.230 0.770
H3 0.230 0.770 0.230
H4 0.230 0.770 0.770
H5 0.770 0.230 0.230
H6 0.770 0.230 0.770
H7 0.770 0.770 0.230
H8 0.770 0.770 0.770

Most intense lines, 2θ = 5–70°, most intense first:
2θ 30.24, d = 2.956 Å, rel. 100.0; 2θ 35.06, d = 2.560 Å, rel. 49.7; 2θ 59.93, d = 1.544 Å, rel. 44.9; 2θ 50.42, d = 1.810 Å, rel. 38.0; 2θ 62.89, d = 1.478 Å, rel. 12.8; 2θ 17.32, d = 5.119 Å, rel. 0.8; 2θ 24.59, d = 3.620 Å, rel. 0.8; 2θ 39.35, d = 2.289 Å, rel. 0.6


(8)
For HfSc2I, the PBE geometry in Alexandria gives the theoretical powder XRD pattern in this record (Cu Kα).
Peak positions follow from Bragg's law for the DFT cell and can differ from measured ones.

Atomic structure:
Unit cell a=9.685 b=9.685 c=9.685 alpha=20.78 beta=20.78 gamma=20.78
Element x y z (fractional)
Hf1 0.000 0.000 0.000
Sc1 0.249 0.249 0.249
Sc2 0.751 0.751 0.751
I1 0.500 0.500 0.500

Most intense lines, 2θ = 5–70°, most intense first:
2θ 32.15, d = 2.784 Å, rel. 100.0; 2θ 39.11, d = 2.303 Å, rel. 58.1; 2θ 18.74, d = 4.736 Å, rel. 35.5; 2θ 30.20, d = 2.959 Å, rel. 34.0; 2θ 52.37, d = 1.747 Å, rel. 24.5; 2θ 66.51, d = 1.406 Å, rel. 23.5; 2θ 38.00, d = 2.368 Å, rel. 21.0; 2θ 60.44, d = 1.532 Å, rel. 15.7; 2θ 62.80, d = 1.480 Å, rel. 14.0; 2θ 43.70, d = 2.071 Å, rel. 12.9; 2θ 56.12, d = 1.639 Å, rel. 12.7; 2θ 67.26, d = 1.392 Å, rel. 11.4


(9)
For NpTl3Br8, the PBE geometry in Alexandria gives the theoretical powder XRD pattern in this record (Cu Kα).
Peak positions follow from Bragg's law for the DFT cell and can differ from measured ones.

Atomic structure:
Unit cell a=7.485 b=7.485 c=7.485 alpha=90.00 beta=90.00 gamma=90.00
Element x y z (fractional)
Np1 0.000 0.000 0.000
Tl1 0.000 0.500 0.500
Tl2 0.500 0.000 0.500
Tl3 0.500 0.500 0.000
Br1 0.226 0.226 0.226
Br2 0.226 0.226 0.774
Br3 0.226 0.774 0.226
Br4 0.226 0.774 0.774
Br5 0.774 0.226 0.226
Br6 0.774 0.226 0.774
Br7 0.774 0.774 0.226
Br8 0.774 0.774 0.774

Most intense lines, 2θ = 5–70°, most intense first:
2θ 33.87, d = 2.646 Å, rel. 100.0; 2θ 20.55, d = 4.321 Å, rel. 77.4; 2θ 39.95, d = 2.257 Å, rel. 42.5; 2θ 60.61, d = 1.528 Å, rel. 32.4; 2θ 53.35, d = 1.717 Å, rel. 19.8; 2θ 48.66, d = 1.871 Å, rel. 16.7; 2θ 64.71, d = 1.440 Å, rel. 14.1; 2θ 11.82, d = 7.485 Å, rel. 4.9; 2θ 43.60, d = 2.076 Å, rel. 4.4; 2θ 67.38, d = 1.390 Å, rel. 3.6; 2θ 54.85, d = 1.674 Å, rel. 2.7; 2θ 36.00, d = 2.495 Å, rel. 2.5


(10)
For La2MnPt, the PBE geometry in Alexandria gives the theoretical powder XRD pattern in this record (Cu Kα).
Peak positions follow from Bragg's law for the DFT cell and can differ from measured ones.

Atomic structure:
Unit cell a=6.490 b=6.490 c=6.490 alpha=147.14 beta=137.17 gamma=55.02
Element x y z (fractional)
La1 0.000 0.000 0.000
La2 0.710 0.210 0.500
Mn1 0.288 0.788 0.500
Pt1 0.447 0.447 0.000

Most intense lines, 2θ = 5–70°, most intense first:
2θ 34.61, d = 2.591 Å, rel. 100.0; 2θ 29.96, d = 2.982 Å, rel. 23.0; 2θ 37.97, d = 2.370 Å, rel. 22.5; 2θ 31.08, d = 2.878 Å, rel. 21.1; 2θ 66.44, d = 1.407 Å, rel. 16.3; 2θ 15.39, d = 5.756 Å, rel. 14.6; 2θ 46.56, d = 1.950 Å, rel. 14.5; 2θ 61.58, d = 1.506 Å, rel. 12.5; 2θ 49.85, d = 1.829 Å, rel. 11.4; 2θ 49.67, d = 1.836 Å, rel. 10.4; 2θ 64.18, d = 1.451 Å, rel. 10.3; 2θ 59.50, d = 1.554 Å, rel. 9.8


(11)
For NaInSi, the PBE geometry in Alexandria gives the theoretical powder XRD pattern in this record (Cu Kα).
Peak positions follow from Bragg's law for the DFT cell and can differ from measured ones.

Atomic structure:
Unit cell a=4.633 b=5.892 c=6.044 alpha=78.99 beta=67.57 gamma=67.08
Element x y z (fractional)
Na1 0.076 0.176 0.171
Na2 0.924 0.824 0.829
In1 0.328 0.256 0.587
In2 0.672 0.744 0.413
Si1 0.359 0.590 0.192
Si2 0.641 0.410 0.808

Most intense lines, 2θ = 5–70°, most intense first:
2θ 32.23, d = 2.777 Å, rel. 100.0; 2θ 15.88, d = 5.580 Å, rel. 59.1; 2θ 22.48, d = 3.954 Å, rel. 47.3; 2θ 38.88, d = 2.316 Å, rel. 31.0; 2θ 32.05, d = 2.793 Å, rel. 30.9; 2θ 22.19, d = 4.006 Å, rel. 25.4; 2θ 37.61, d = 2.392 Å, rel. 24.0; 2θ 33.05, d = 2.710 Å, rel. 23.9; 2θ 38.99, d = 2.310 Å, rel. 22.3; 2θ 39.13, d = 2.302 Å, rel. 22.1; 2θ 36.96, d = 2.432 Å, rel. 18.5; 2θ 45.50, d = 1.993 Å, rel. 15.8


(12)
For Rb2PmScS4, the PBE geometry in Alexandria gives the theoretical powder XRD pattern in this record (Cu Kα).
Peak positions follow from Bragg's law for the DFT cell and can differ from measured ones.

Atomic structure:
Unit cell a=6.991 b=4.042 c=8.011 alpha=90.00 beta=106.91 gamma=90.00
Element x y z (fractional)
Rb1 0.000 0.000 0.000
Rb2 0.500 0.500 0.000
Pm1 0.000 0.500 0.500
Sc1 0.500 0.000 0.500
S1 0.249 0.000 0.693
S2 0.287 0.500 0.314
S3 0.713 0.500 0.686
S4 0.751 0.000 0.307

Most intense lines, 2θ = 5–70°, most intense first:
2θ 29.90, d = 2.988 Å, rel. 100.0; 2θ 40.63, d = 2.221 Å, rel. 34.3; 2θ 44.88, d = 2.019 Å, rel. 32.7; 2θ 26.64, d = 3.346 Å, rel. 31.6; 2θ 23.20, d = 3.834 Å, rel. 22.2; 2θ 54.87, d = 1.673 Å, rel. 17.2; 2θ 51.12, d = 1.787 Å, rel. 15.2; 2θ 47.31, d = 1.921 Å, rel. 12.7; 2θ 62.13, d = 1.494 Å, rel. 9.4; 2θ 67.30, d = 1.391 Å, rel. 8.1; 2θ 62.47, d = 1.487 Å, rel. 7.7; 2θ 11.54, d = 7.665 Å, rel. 7.6